[1]
Diffraction record for CaPmNd14. The powder X-ray diffraction pattern is calculated, not measured: it uses a GGA-PBE-relaxed structure and Cu Kα (weighted mean of Kα1 and Kα2).
Intensities are scaled so that the largest is 100.

Structure:
```
data_CaPmNd14
_chemical_formula_sum 'Ca1 Pm1 Nd14'
_cell_length_a 7.3815
_cell_length_b 7.3815
_cell_length_c 10.4103
_cell_angle_alpha 90.00
_cell_angle_beta 90.00
_cell_angle_gamma 90.00
_symmetry_space_group_name_H-M 'P 4/m m m'
_symmetry_Int_Tables_number 123
_symmetry_space_group_name_Hall '-P 4 2'
loop_
_atom_site_label
_atom_site_type_symbol
_atom_site_fract_x
_atom_site_fract_y
_atom_site_fract_z
Ca1 Ca 0.0000 0.0000 0.0000
Pm1 Pm 0.5000 0.5000 0.0000
Nd1 Nd 0.0000 0.0000 0.5000
Nd2 Nd 0.0000 0.5000 0.0000
Nd3 Nd 0.0000 0.5000 0.5000
Nd4 Nd 0.2532 0.2532 0.2524
Nd5 Nd 0.5000 0.5000 0.5000
```

Main lines, by intensity (2θ = 15–90°):
2θ/deg, d [Å], I/Imax, (hkl)
29.7, 3.011, 100.0, 2 0 2
34.4, 2.607, 50.7, 2 2 0
49.4, 1.844, 36.3, 4 0 0
58.7, 1.573, 28.9, 4 2 2
58.8, 1.570, 14.3, 2 0 6
61.6, 1.505, 12.4, 4 0 4

[2]
Diffraction record for CaPm7Nd12. The powder X-ray diffraction pattern is calculated, not measured: it uses a GGA-PBE-relaxed structure and Cu Kα (weighted mean of Kα1 and Kα2).
Intensities are scaled so that the largest is 100.

Structure:
```
data_CaPm7Nd12
_chemical_formula_sum 'Ca2 Pm14 Nd24'
_cell_length_a 11.6907
_cell_length_b 11.6907
_cell_length_c 11.6907
_cell_angle_alpha 90.00
_cell_angle_beta 90.00
_cell_angle_gamma 90.00
_symmetry_space_group_name_H-M 'I m -3'
_symmetry_Int_Tables_number 204
_symmetry_space_group_name_Hall '-I 2 2 3'
loop_
_atom_site_label
_atom_site_type_symbol
_atom_site_fract_x
_atom_site_fract_y
_atom_site_fract_z
Ca1 Ca 0.0000 0.0000 0.0000
Pm1 Pm 0.0000 0.0000 0.5000
Pm2 Pm 0.2500 0.2500 0.2500
Nd1 Nd 0.0000 0.2550 0.2539
```

Main lines, by intensity (2θ = 15–90°):
2θ/deg, d [Å], I/Imax, (hkl)
30.6, 2.923, 100.0, 4 0 0
43.8, 2.067, 74.3, 4 4 0
26.4, 3.375, 65.5, 2 2 2
72.3, 1.307, 32.9, 8 4 0
15.2, 5.845, 31.7, 2 0 0
51.9, 1.762, 30.0, 6 2 2

[3]
Diffraction record for CaPm6Nd2. The powder X-ray diffraction pattern is calculated, not measured: it uses a GGA-PBE-relaxed structure and Cu Kα (weighted mean of Kα1 and Kα2).
Intensities are scaled so that the largest is 100.

Structure:
```
data_CaPm6Nd2
_chemical_formula_sum 'Ca4 Pm24 Nd8'
_cell_length_a 17.9797
_cell_length_b 11.1333
_cell_length_c 6.4007
_cell_angle_alpha 90.00
_cell_angle_beta 96.80
_cell_angle_gamma 90.00
_symmetry_space_group_name_H-M 'C 1 2/c 1'
_symmetry_Int_Tables_number 15
_symmetry_space_group_name_Hall '-C 2yc'
loop_
_atom_site_label
_atom_site_type_symbol
_atom_site_fract_x
_atom_site_fract_y
_atom_site_fract_z
Ca1 Ca 0.0000 0.0839 0.2500
Pm1 Pm 0.0000 0.2592 0.7500
Pm2 Pm 0.0000 0.4196 0.2500
Pm3 Pm 0.1669 0.2489 0.1354
Pm4 Pm 0.1711 0.0865 0.6462
Nd1 Nd 0.1667 0.4154 0.6386
```

Main lines, by intensity (2θ = 15–90°):
2θ/deg, d [Å], I/Imax, (hkl)
30.9, 2.892, 100.0, 3 3 -1
32.5, 2.754, 62.5, 3 3 1
30.0, 2.976, 53.6, 6 0 0
28.0, 3.184, 32.7, 0 0 2
58.8, 1.571, 31.9, 7 3 -3
32.6, 2.747, 30.8, 4 0 -2